# Th4Sb3
Computed powder XRD pattern, Cu Kα (λ = 1.5418 Å). Input: a GGA-PBE-relaxed structure.
Peak positions follow from Bragg's law for the DFT cell and can differ from measured ones.

Structure:
a b c (Å): 9.436 9.436 9.436
angles (deg): 32.98 32.98 32.98
Positions (direct):
Th: 0.122 0.122 0.122
Th: 0.373 0.373 0.373
Th: 0.627 0.627 0.627
Th: 0.878 0.878 0.878
Sb: 0.000 0.000 0.000
Sb: 0.244 0.244 0.244
Sb: 0.756 0.756 0.756

Peak list (8 most intense, 10 to 90 degrees two-theta, most intense first)
d = 2.712 Å, 33.0°, intensity 100
d = 2.678 Å, 33.5°, intensity 99
d = 3.811 Å, 23.3°, intensity 43
d = 1.553 Å, 59.5°, intensity 38
d = 1.906 Å, 47.7°, intensity 36
d = 1.546 Å, 59.8°, intensity 19
d = 1.573 Å, 58.7°, intensity 18
d = 1.201 Å, 79.9°, intensity 16


# ThSb3
Computed powder XRD pattern, Cu Kα (λ = 1.5418 Å). Input: a GGA-PBE-relaxed structure.
Peak positions follow from Bragg's law for the DFT cell and can differ from measured ones.

Structure:
a b c (Å): 6.286 6.286 6.286
angles (deg): 137.73 137.73 61.32
Positions (direct):
Th: 0.000 0.000 0.000
Sb: 0.250 0.750 0.500
Sb: 0.500 0.500 0.000
Sb: 0.750 0.250 0.500

Peak list (8 most intense, 10 to 90 degrees two-theta, most intense first)
d = 2.757 Å, 32.5°, intensity 100
d = 2.267 Å, 39.8°, intensity 29
d = 1.737 Å, 52.7°, intensity 25
d = 1.386 Å, 67.6°, intensity 24
d = 2.704 Å, 33.1°, intensity 24
d = 1.571 Å, 58.8°, intensity 18
d = 1.122 Å, 86.8°, intensity 13
d = 1.379 Å, 68.0°, intensity 12


# ThTlSb2
Computed powder XRD pattern, Cu Kα (λ = 1.5418 Å). Input: a GGA-PBE-relaxed structure.
Peak positions follow from Bragg's law for the DFT cell and can differ from measured ones.

Structure:
a b c (Å): 5.138 5.138 4.243
angles (deg): 90.00 90.00 90.00
Positions (direct):
Th: 0.000 0.000 0.000
Tl: 0.500 0.500 0.000
Sb: 0.000 0.500 0.500
Sb: 0.500 0.000 0.500

Peak list (8 most intense, 10 to 90 degrees two-theta, most intense first)
d = 2.760 Å, 32.4°, intensity 100
d = 2.569 Å, 34.9°, intensity 41
d = 1.517 Å, 61.1°, intensity 33
d = 1.636 Å, 56.2°, intensity 21
d = 1.817 Å, 50.2°, intensity 15
d = 1.380 Å, 67.9°, intensity 12
d = 2.121 Å, 42.6°, intensity 12
d = 1.318 Å, 71.6°, intensity 10


# Tm5ThSb4
Computed powder XRD pattern, Cu Kα (λ = 1.5418 Å). Input: a GGA-PBE-relaxed structure.
Peak positions follow from Bragg's law for the DFT cell and can differ from measured ones.

Structure:
a b c (Å): 9.529 9.529 8.383
angles (deg): 106.23 106.23 26.20
Positions (direct):
Tm: 0.000 0.000 0.000
Tm: 0.314 0.314 0.154
Tm: 0.342 0.342 0.688
Tm: 0.658 0.658 0.312
Tm: 0.686 0.686 0.846
Th: 0.000 0.000 0.500
Sb: 0.174 0.174 0.582
Sb: 0.484 0.484 0.226
Sb: 0.516 0.516 0.774
Sb: 0.826 0.826 0.418

Peak list (8 most intense, 10 to 90 degrees two-theta, most intense first)
d = 3.005 Å, 29.7°, intensity 100
d = 2.160 Å, 41.8°, intensity 55
d = 2.963 Å, 30.2°, intensity 40
d = 2.063 Å, 43.9°, intensity 26
d = 3.491 Å, 25.5°, intensity 20
d = 1.745 Å, 52.4°, intensity 18
d = 2.092 Å, 43.3°, intensity 17
d = 2.438 Å, 36.9°, intensity 15


# Tm3Th5Sb8
Computed powder XRD pattern, Cu Kα (λ = 1.5418 Å). Input: a GGA-PBE-relaxed structure.
Peak positions follow from Bragg's law for the DFT cell and can differ from measured ones.

Structure:
a b c (Å): 8.878 8.878 8.878
angles (deg): 60.18 60.18 60.18
Positions (direct):
Tm: 0.000 0.500 0.500
Tm: 0.500 0.000 0.500
Tm: 0.500 0.500 0.000
Th: 0.000 0.000 0.000
Th: 0.000 0.000 0.500
Th: 0.000 0.500 0.000
Th: 0.500 0.000 0.000
Th: 0.500 0.500 0.500
Sb: 0.250 0.250 0.741
Sb: 0.250 0.741 0.250
Sb: 0.254 0.254 0.254
Sb: 0.259 0.750 0.750
Sb: 0.741 0.250 0.250
Sb: 0.746 0.746 0.746
Sb: 0.750 0.259 0.750
Sb: 0.750 0.750 0.259

Peak list (8 most intense, 10 to 90 degrees two-theta, most intense first)
d = 3.143 Å, 28.4°, intensity 100
d = 2.226 Å, 40.5°, intensity 39
d = 2.219 Å, 40.7°, intensity 38
d = 1.816 Å, 50.2°, intensity 21
d = 1.284 Å, 73.8°, intensity 20
d = 1.407 Å, 66.4°, intensity 18
d = 1.404 Å, 66.6°, intensity 18
d = 1.572 Å, 58.8°, intensity 13


# ThUSb4
Computed powder XRD pattern, Cu Kα (λ = 1.5418 Å). Input: a GGA-PBE-relaxed structure.
Peak positions follow from Bragg's law for the DFT cell and can differ from measured ones.

Structure:
a b c (Å): 4.360 4.360 8.957
angles (deg): 90.00 90.00 90.00
Positions (direct):
Th: 0.000 0.000 0.000
U: 0.500 0.500 0.558
Sb: 0.000 0.000 0.630
Sb: 0.000 0.500 0.286
Sb: 0.500 0.000 0.286
Sb: 0.500 0.500 0.907

Peak list (8 most intense, 10 to 90 degrees two-theta, most intense first)
d = 2.539 Å, 35.3°, intensity 100
d = 2.915 Å, 30.7°, intensity 68
d = 2.180 Å, 41.4°, intensity 57
d = 2.463 Å, 36.5°, intensity 48
d = 3.920 Å, 22.7°, intensity 40
d = 1.318 Å, 71.6°, intensity 39
d = 2.986 Å, 29.9°, intensity 36
d = 3.083 Å, 29.0°, intensity 34


# Y5ThSb6
Computed powder XRD pattern, Cu Kα (λ = 1.5418 Å). Input: a GGA-PBE-relaxed structure.
Peak positions follow from Bragg's law for the DFT cell and can differ from measured ones.

Structure:
a b c (Å): 7.639 7.639 7.647
angles (deg): 99.60 99.60 119.97
Positions (direct):
Y: 0.000 0.000 0.000
Y: 0.167 0.833 0.500
Y: 0.335 0.665 0.000
Y: 0.665 0.335 0.000
Y: 0.833 0.167 0.500
Th: 0.500 0.500 0.500
Sb: 0.078 0.415 0.247
Sb: 0.246 0.246 0.751
Sb: 0.415 0.078 0.247
Sb: 0.585 0.922 0.753
Sb: 0.754 0.754 0.249
Sb: 0.922 0.585 0.753

Peak list (8 most intense, 10 to 90 degrees two-theta, most intense first)
d = 3.120 Å, 28.6°, intensity 100
d = 2.206 Å, 40.9°, intensity 75
d = 1.395 Å, 67.1°, intensity 34
d = 1.801 Å, 50.7°, intensity 27
d = 1.274 Å, 74.5°, intensity 25
d = 1.560 Å, 59.2°, intensity 12
d = 1.103 Å, 88.7°, intensity 8
d = 6.328 Å, 14.0°, intensity 2


# Ti4Sb
Computed powder XRD pattern, Cu Kα (λ = 1.5418 Å). Input: a GGA-PBE-relaxed structure.
Peak positions follow from Bragg's law for the DFT cell and can differ from measured ones.

Structure:
a b c (Å): 7.725 7.725 7.725
angles (deg): 145.27 137.80 55.76
Positions (direct):
Ti: 0.000 0.000 0.000
Ti: 0.210 0.198 0.012
Ti: 0.314 0.802 0.512
Ti: 0.351 0.601 0.750
Ti: 0.500 0.000 0.500
Ti: 0.649 0.399 0.250
Ti: 0.686 0.198 0.488
Ti: 0.790 0.802 0.988
Sb: 0.139 0.389 0.750
Sb: 0.861 0.611 0.250

Peak list (8 most intense, 10 to 90 degrees two-theta, most intense first)
d = 2.348 Å, 38.3°, intensity 100
d = 2.306 Å, 39.1°, intensity 25
d = 2.156 Å, 41.9°, intensity 22
d = 3.150 Å, 28.3°, intensity 15
d = 1.575 Å, 58.6°, intensity 15
d = 1.339 Å, 70.3°, intensity 15
d = 1.197 Å, 80.2°, intensity 10
d = 2.110 Å, 42.9°, intensity 9


# Ti13Sb2
Computed powder XRD pattern, Cu Kα (λ = 1.5418 Å). Input: a GGA-PBE-relaxed structure.
Peak positions follow from Bragg's law for the DFT cell and can differ from measured ones.

Structure:
a b c (Å): 8.353 8.353 8.353
angles (deg): 50.74 50.74 50.74
Positions (direct):
Ti: 0.000 0.000 0.000
Ti: 0.118 0.118 0.498
Ti: 0.118 0.498 0.118
Ti: 0.242 0.242 0.616
Ti: 0.242 0.616 0.242
Ti: 0.384 0.758 0.758
Ti: 0.498 0.118 0.118
Ti: 0.502 0.882 0.882
Ti: 0.616 0.242 0.242
Ti: 0.758 0.384 0.758
Ti: 0.758 0.758 0.384
Ti: 0.882 0.502 0.882
Ti: 0.882 0.882 0.502
Sb: 0.137 0.137 0.137
Sb: 0.863 0.863 0.863

Peak list (8 most intense, 10 to 90 degrees two-theta, most intense first)
d = 2.329 Å, 38.7°, intensity 100
d = 5.962 Å, 14.9°, intensity 80
d = 2.196 Å, 41.1°, intensity 72
d = 2.492 Å, 36.0°, intensity 67
d = 3.210 Å, 27.8°, intensity 33
d = 4.090 Å, 21.7°, intensity 30
d = 3.579 Å, 24.9°, intensity 28
d = 1.260 Å, 75.4°, intensity 22


# Ti2Sb3
Computed powder XRD pattern, Cu Kα (λ = 1.5418 Å). Input: a GGA-PBE-relaxed structure.
Peak positions follow from Bragg's law for the DFT cell and can differ from measured ones.

Structure:
a b c (Å): 6.612 3.662 10.378
angles (deg): 90.00 107.87 90.00
Positions (direct):
Ti: 0.096 0.250 0.148
Ti: 0.244 0.250 0.493
Ti: 0.756 0.750 0.507
Ti: 0.904 0.750 0.852
Sb: 0.028 0.250 0.688
Sb: 0.309 0.750 0.028
Sb: 0.493 0.750 0.672
Sb: 0.507 0.250 0.328
Sb: 0.691 0.250 0.972
Sb: 0.972 0.750 0.312

Peak list (8 most intense, 10 to 90 degrees two-theta, most intense first)
d = 2.887 Å, 31.0°, intensity 100
d = 2.874 Å, 31.1°, intensity 93
d = 3.292 Å, 27.1°, intensity 40
d = 2.481 Å, 36.2°, intensity 38
d = 3.123 Å, 28.6°, intensity 36
d = 1.882 Å, 48.4°, intensity 31
d = 2.347 Å, 38.3°, intensity 26
d = 1.831 Å, 49.8°, intensity 25


# Ti5Sb2
Computed powder XRD pattern, Cu Kα (λ = 1.5418 Å). Input: a GGA-PBE-relaxed structure.
Peak positions follow from Bragg's law for the DFT cell and can differ from measured ones.

Structure:
a b c (Å): 7.165 7.165 7.470
angles (deg): 92.49 92.49 43.70
Positions (direct):
Ti: 0.120 0.326 0.300
Ti: 0.203 0.552 0.044
Ti: 0.208 0.792 0.750
Ti: 0.326 0.120 0.800
Ti: 0.448 0.797 0.456
Ti: 0.552 0.203 0.544
Ti: 0.674 0.880 0.200
Ti: 0.792 0.208 0.250
Ti: 0.797 0.448 0.956
Ti: 0.880 0.674 0.700
Sb: 0.101 0.712 0.414
Sb: 0.288 0.899 0.086
Sb: 0.712 0.101 0.914
Sb: 0.899 0.288 0.586

Peak list (8 most intense, 10 to 90 degrees two-theta, most intense first)
d = 2.238 Å, 40.3°, intensity 100
d = 2.425 Å, 37.1°, intensity 83
d = 2.294 Å, 39.3°, intensity 72
d = 2.337 Å, 38.5°, intensity 64
d = 3.321 Å, 26.8°, intensity 58
d = 4.092 Å, 21.7°, intensity 52
d = 3.143 Å, 28.4°, intensity 50
d = 2.667 Å, 33.6°, intensity 35


# Ti12Tl3Sb
Computed powder XRD pattern, Cu Kα (λ = 1.5418 Å). Input: a GGA-PBE-relaxed structure.
Peak positions follow from Bragg's law for the DFT cell and can differ from measured ones.

Structure:
a b c (Å): 5.247 5.248 10.491
angles (deg): 90.00 90.00 90.00
Positions (direct):
Ti: 0.000 0.000 0.123
Ti: 0.000 0.000 0.373
Ti: 0.000 0.000 0.627
Ti: 0.000 0.000 0.877
Ti: 0.250 0.500 0.253
Ti: 0.250 0.500 0.747
Ti: 0.500 0.249 0.000
Ti: 0.500 0.250 0.500
Ti: 0.500 0.750 0.500
Ti: 0.500 0.751 0.000
Ti: 0.750 0.500 0.253
Ti: 0.750 0.500 0.747
Tl: 0.000 0.500 0.000
Tl: 0.500 0.000 0.250
Tl: 0.500 0.000 0.750
Sb: 0.000 0.500 0.500

Peak list (8 most intense, 10 to 90 degrees two-theta, most intense first)
d = 2.142 Å, 42.2°, intensity 100
d = 3.710 Å, 24.0°, intensity 73
d = 1.402 Å, 66.7°, intensity 51
d = 2.623 Å, 34.2°, intensity 45
d = 2.347 Å, 38.4°, intensity 23
d = 1.659 Å, 55.4°, intensity 16
d = 1.173 Å, 82.2°, intensity 14
d = 1.119 Å, 87.1°, intensity 13